Record 1
Starting from a cell relaxed with GGA-PBE, the powder XRD pattern of In2HgH6 was simulated for Cu Ka.
Lines closer than 0.1° are merged.

Principal peaks in the range 10° ≤ 2θ ≤ 80°, by intensity:
- 31.14 deg, I = 1000
- 21.57 deg, I = 951
- 36.09 deg, I = 774
- 22.86 deg, I = 751
- 28.26 deg, I = 685
- 35.83 deg, I = 521
- 41.35 deg, I = 434
- 51.87 deg, I = 235
- 40.21 deg, I = 210
- 55.28 deg, I = 205
- 48.69 deg, I = 184
- 51.18 deg, I = 172

Structure:
Unit cell a=5.6142 b=5.6142 c=4.9456 alpha=113.61 beta=113.61 gamma=68.45
Sites, in units of the cell vectors:
In 0.1472 0.1472 0.4261
In 0.8528 0.8528 0.5739
Hg 0.5000 0.5000 0.0000
H 0.0926 0.5872 0.8017
H 0.2046 0.7954 0.5000
H 0.4128 0.9074 0.1983
H 0.5872 0.0926 0.8017
H 0.7954 0.2046 0.5000
H 0.9074 0.4128 0.1983



Record 2
Starting from a cell relaxed with GGA-PBE, the powder XRD pattern of InHg8H6 was simulated for Cu Ka.
Lines closer than 0.1° are merged.

Principal peaks in the range 10° ≤ 2θ ≤ 80°, by intensity:
- 31.18 deg, I = 1000
- 27.80 deg, I = 875
- 22.56 deg, I = 739
- 30.48 deg, I = 538
- 26.35 deg, I = 459
- 45.74 deg, I = 379
- 37.57 deg, I = 357
- 37.35 deg, I = 346
- 37.95 deg, I = 336
- 34.14 deg, I = 332
- 35.37 deg, I = 276
- 39.73 deg, I = 275

Structure:
Unit cell a=6.5452 b=6.6198 c=8.2426 alpha=82.75 beta=73.11 gamma=70.49
Sites, in units of the cell vectors:
In 0.0000 0.0000 0.0000
Hg 0.0336 0.8428 0.6521
Hg 0.1238 0.3977 0.8130
Hg 0.3541 0.6296 0.2510
Hg 0.4321 0.9065 0.6900
Hg 0.5679 0.0935 0.3100
Hg 0.6459 0.3704 0.7490
Hg 0.8762 0.6023 0.1870
Hg 0.9664 0.1572 0.3479
H 0.2728 0.1347 0.3119
H 0.2874 0.5376 0.4536
H 0.4081 0.7336 0.0512
H 0.5919 0.2664 0.9488
H 0.7126 0.4624 0.5464
H 0.7272 0.8653 0.6881



Record 3
Starting from a cell relaxed with GGA-PBE, the powder XRD pattern of InHg4H was simulated for Cu Ka.
Lines closer than 0.1° are merged.

Principal peaks in the range 10° ≤ 2θ ≤ 80°, by intensity:
- 30.66 deg, I = 1000
- 31.68 deg, I = 902
- 44.67 deg, I = 690
- 37.98 deg, I = 685
- 35.31 deg, I = 628
- 35.12 deg, I = 583
- 32.23 deg, I = 459
- 73.75 deg, I = 320
- 28.28 deg, I = 291
- 64.61 deg, I = 250
- 65.19 deg, I = 233
- 61.27 deg, I = 218

Structure:
Unit cell a=4.0585 b=3.3199 c=10.2869 alpha=90.00 beta=99.54 gamma=90.00
Sites, in units of the cell vectors:
In 0.0000 0.0000 0.0000
Hg 0.1979 0.0000 0.3826
Hg 0.4109 0.5000 0.8050
Hg 0.5891 0.5000 0.1950
Hg 0.8021 0.0000 0.6174
H 0.0000 0.5000 0.5000



Record 4
Starting from a cell relaxed with GGA-PBE, the powder XRD pattern of Sr2Hg2H4Ir was simulated for Cu Ka.
Lines closer than 0.1° are merged.

Principal peaks in the range 10° ≤ 2θ ≤ 80°, by intensity:
- 28.63 deg, I = 1000
- 36.35 deg, I = 711
- 20.13 deg, I = 673
- 46.91 deg, I = 660
- 40.93 deg, I = 396
- 63.98 deg, I = 267
- 71.55 deg, I = 201
- 55.88 deg, I = 188
- 67.12 deg, I = 184
- 46.02 deg, I = 166
- 73.58 deg, I = 142
- 59.26 deg, I = 133

Structure:
Unit cell a=5.9794 b=5.9794 c=5.9794 alpha=117.13 beta=117.13 gamma=95.05
Sites, in units of the cell vectors:
Sr 0.2500 0.7500 0.5000
Sr 0.7500 0.2500 0.5000
Hg 0.1648 0.1648 0.0000
Hg 0.8352 0.8352 0.0000
H 0.3054 0.3054 0.6108
H 0.3054 0.6946 0.0000
H 0.6946 0.3054 0.0000
H 0.6946 0.6946 0.3892
Ir 0.5000 0.5000 0.0000



Record 5
Starting from a cell relaxed with GGA-PBE, the powder XRD pattern of KHg8H6 was simulated for Cu Ka.
Lines closer than 0.1° are merged.

Principal peaks in the range 10° ≤ 2θ ≤ 80°, by intensity:
- 29.76 deg, I = 1000
- 30.13 deg, I = 756
- 34.24 deg, I = 644
- 39.86 deg, I = 514
- 31.30 deg, I = 487
- 27.60 deg, I = 482
- 27.89 deg, I = 448
- 25.77 deg, I = 378
- 31.41 deg, I = 366
- 40.08 deg, I = 356
- 35.58 deg, I = 356
- 17.20 deg, I = 334

Structure:
Unit cell a=5.4275 b=6.1321 c=10.2513 alpha=106.16 beta=96.18 gamma=104.56
Sites, in units of the cell vectors:
K 0.0000 0.0000 0.0000
Hg 0.2096 0.4828 0.4074
Hg 0.2205 0.9884 0.4171
Hg 0.3533 0.6609 0.7179
Hg 0.4535 0.7259 0.1357
Hg 0.5465 0.2741 0.8643
Hg 0.6467 0.3391 0.2821
Hg 0.7795 0.0116 0.5829
Hg 0.7904 0.5172 0.5926
H 0.1304 0.6362 0.0899
H 0.2237 0.1953 0.8115
H 0.4556 0.7928 0.9053
H 0.5444 0.2072 0.0947
H 0.7763 0.8047 0.1885
H 0.8696 0.3638 0.9101



Record 6
Starting from a cell relaxed with GGA-PBE, the powder XRD pattern of KHgH6 was simulated for Cu Ka.
Lines closer than 0.1° are merged.

Principal peaks in the range 10° ≤ 2θ ≤ 80°, by intensity:
- 17.78 deg, I = 1000
- 15.40 deg, I = 692
- 19.74 deg, I = 427
- 27.34 deg, I = 412
- 27.54 deg, I = 397
- 30.86 deg, I = 316
- 30.32 deg, I = 300
- 30.47 deg, I = 289
- 26.95 deg, I = 284
- 31.09 deg, I = 279
- 24.47 deg, I = 257
- 24.26 deg, I = 245

Structure:
Unit cell a=3.9261 b=5.5640 c=6.0330 alpha=106.34 beta=90.25 gamma=109.93
Sites, in units of the cell vectors:
K 0.0000 0.0000 0.0000
Hg 0.5753 0.1487 0.5559
H 0.0359 0.5397 0.1940
H 0.0693 0.1305 0.6019
H 0.2278 0.6275 0.1818
H 0.2688 0.5706 0.7264
H 0.3458 0.7051 0.7005
H 0.6008 0.2103 0.2542



Record 7
Starting from a cell relaxed with GGA-PBE, the powder XRD pattern of KHgH4 was simulated for Cu Ka.
Lines closer than 0.1° are merged.

Principal peaks in the range 10° ≤ 2θ ≤ 80°, by intensity:
- 11.02 deg, I = 1000
- 17.24 deg, I = 631
- 33.24 deg, I = 552
- 26.91 deg, I = 548
- 33.36 deg, I = 234
- 24.64 deg, I = 213
- 23.34 deg, I = 182
- 47.63 deg, I = 164
- 33.00 deg, I = 163
- 40.80 deg, I = 161
- 34.89 deg, I = 143
- 41.92 deg, I = 141

Structure:
Unit cell a=8.8187 b=8.8187 c=4.8990 alpha=106.07 beta=106.07 gamma=131.09
Sites, in units of the cell vectors:
K 0.1005 0.8995 0.7500
K 0.8995 0.1005 0.2500
Hg 0.4448 0.5552 0.2500
Hg 0.5552 0.4448 0.7500
H 0.0354 0.4886 0.0120
H 0.1099 0.2607 0.9355
H 0.2607 0.1099 0.4355
H 0.4886 0.0354 0.5120
H 0.5114 0.9646 0.4880
H 0.7393 0.8901 0.5645
H 0.8901 0.7393 0.0645
H 0.9646 0.5114 0.9880



Record 8
Starting from a cell relaxed with GGA-PBE, the powder XRD pattern of KHgH2Pd2 was simulated for Cu Ka.
Lines closer than 0.1° are merged.

Principal peaks in the range 10° ≤ 2θ ≤ 80°, by intensity:
- 11.11 deg, I = 1000
- 37.54 deg, I = 362
- 27.39 deg, I = 262
- 27.92 deg, I = 221
- 36.74 deg, I = 128
- 41.66 deg, I = 119
- 45.12 deg, I = 113
- 40.03 deg, I = 109
- 19.24 deg, I = 106
- 40.55 deg, I = 105
- 33.78 deg, I = 100
- 53.02 deg, I = 86

Structure:
Unit cell a=4.9380 b=5.6595 c=8.0761 alpha=90.00 beta=99.71 gamma=90.00
Sites, in units of the cell vectors:
K 0.2350 0.2500 0.3945
K 0.7650 0.7500 0.6055
Hg 0.1539 0.7500 0.1040
Hg 0.8461 0.2500 0.8960
H 0.2290 0.2500 0.7121
H 0.2945 0.7500 0.7126
H 0.7055 0.2500 0.2874
H 0.7710 0.7500 0.2879
Pd 0.3232 0.0048 0.8374
Pd 0.3232 0.4952 0.8374
Pd 0.6768 0.5048 0.1626
Pd 0.6768 0.9952 0.1626



Record 9
Starting from a cell relaxed with GGA-PBE, the powder XRD pattern of KRb3Hg2H8 was simulated for Cu Ka.
Lines closer than 0.1° are merged.

Principal peaks in the range 10° ≤ 2θ ≤ 80°, by intensity:
- 28.28 deg, I = 1000
- 26.81 deg, I = 886
- 19.39 deg, I = 423
- 49.17 deg, I = 333
- 39.36 deg, I = 328
- 35.62 deg, I = 299
- 46.45 deg, I = 212
- 50.06 deg, I = 205
- 21.21 deg, I = 188
- 16.22 deg, I = 180
- 55.28 deg, I = 173
- 65.48 deg, I = 142

Structure:
Unit cell a=6.3117 b=6.3117 c=8.3778 alpha=90.00 beta=90.00 gamma=120.00
Sites, in units of the cell vectors:
K 0.0000 0.0000 0.0000
Rb 0.0000 0.0000 0.5000
Rb 0.3333 0.6667 0.1875
Rb 0.6667 0.3333 0.8125
Hg 0.3333 0.6667 0.7221
Hg 0.6667 0.3333 0.2779
H 0.1777 0.3553 0.8016
H 0.1777 0.8223 0.8016
H 0.3333 0.6667 0.5116
H 0.3553 0.1777 0.1984
H 0.6447 0.8223 0.8016
H 0.6667 0.3333 0.4884
H 0.8223 0.1777 0.1984
H 0.8223 0.6447 0.1984



Record 10
Starting from a cell relaxed with GGA-PBE, the powder XRD pattern of K2Rb6HgH was simulated for Cu Ka.
Lines closer than 0.1° are merged.

Principal peaks in the range 10° ≤ 2θ ≤ 80°, by intensity:
- 12.95 deg, I = 1000
- 26.03 deg, I = 986
- 37.17 deg, I = 724
- 22.53 deg, I = 707
- 21.56 deg, I = 691
- 28.46 deg, I = 665
- 26.14 deg, I = 487
- 11.21 deg, I = 371
- 45.99 deg, I = 371
- 29.18 deg, I = 367
- 37.26 deg, I = 359
- 34.07 deg, I = 236

Structure:
Unit cell a=9.6691 b=9.6542 c=9.6812 alpha=60.01 beta=59.86 gamma=60.13
Sites, in units of the cell vectors:
K 0.0000 0.0000 0.5000
K 0.5000 0.5000 0.0000
Rb 0.0194 0.4821 0.9806
Rb 0.0190 0.4826 0.5174
Rb 0.0201 0.0201 0.9799
Rb 0.4821 0.0194 0.5179
Rb 0.4825 0.4825 0.5175
Rb 0.4826 0.0190 0.9810
Hg 0.7517 0.7517 0.2483
H 0.2507 0.2507 0.7493



Record 11
Starting from a cell relaxed with GGA-PBE, the powder XRD pattern of K2HgH6Rh was simulated for Cu Ka.
Lines closer than 0.1° are merged.

Principal peaks in the range 10° ≤ 2θ ≤ 80°, by intensity:
- 17.68 deg, I = 1000
- 30.88 deg, I = 546
- 38.53 deg, I = 478
- 60.08 deg, I = 259
- 50.17 deg, I = 226
- 24.48 deg, I = 188
- 35.81 deg, I = 170
- 47.99 deg, I = 155
- 46.54 deg, I = 131
- 77.57 deg, I = 123
- 54.92 deg, I = 104
- 64.34 deg, I = 66

Structure:
Unit cell a=5.7913 b=5.7913 c=5.2819 alpha=90.00 beta=90.00 gamma=120.00
Sites, in units of the cell vectors:
K 0.3333 0.6667 0.2762
K 0.6667 0.3333 0.7238
Hg 0.0000 0.0000 0.0000
H 0.1459 0.2917 0.6679
H 0.1459 0.8541 0.6679
H 0.2917 0.1459 0.3321
H 0.7083 0.8541 0.6679
H 0.8541 0.1459 0.3321
H 0.8541 0.7083 0.3321
Rh 0.0000 0.0000 0.5000



Record 12
Starting from a cell relaxed with GGA-PBE, the powder XRD pattern of Li4HgH was simulated for Cu Ka.
Lines closer than 0.1° are merged.

Principal peaks in the range 10° ≤ 2θ ≤ 80°, by intensity:
- 15.18 deg, I = 1000
- 18.01 deg, I = 676
- 22.16 deg, I = 449
- 37.95 deg, I = 430
- 25.04 deg, I = 338
- 30.65 deg, I = 203
- 31.40 deg, I = 188
- 31.50 deg, I = 187
- 31.90 deg, I = 178
- 32.10 deg, I = 175
- 33.75 deg, I = 148
- 37.70 deg, I = 146

Structure:
Unit cell a=3.0423 b=5.1775 c=6.0682 alpha=92.39 beta=104.37 gamma=106.60
Sites, in units of the cell vectors:
Li 0.0957 0.3857 0.3084
Li 0.3153 0.2250 0.8988
Li 0.6847 0.7750 0.1012
Li 0.9043 0.6143 0.6916
Hg 0.5000 0.0000 0.5000
H 0.0000 0.5000 0.0000



Record 13
Starting from a cell relaxed with GGA-PBE, the powder XRD pattern of LiSiHgH6 was simulated for Cu Ka.
Lines closer than 0.1° are merged.

Principal peaks in the range 10° ≤ 2θ ≤ 80°, by intensity:
- 28.69 deg, I = 1000
- 22.00 deg, I = 658
- 18.18 deg, I = 255
- 38.60 deg, I = 255
- 43.32 deg, I = 240
- 48.79 deg, I = 235
- 63.87 deg, I = 212
- 42.98 deg, I = 203
- 54.42 deg, I = 199
- 61.45 deg, I = 119
- 44.87 deg, I = 109
- 73.10 deg, I = 105

Structure:
Unit cell a=4.6654 b=4.6654 c=4.8798 alpha=90.00 beta=90.00 gamma=120.00
Sites, in units of the cell vectors:
Li 0.0000 0.0000 0.0000
Si 0.3333 0.6667 0.0000
Hg 0.6667 0.3333 0.5000
H 0.0487 0.3863 0.1951
H 0.0487 0.6624 0.8049
H 0.3376 0.3863 0.8049
H 0.3376 0.9513 0.1951
H 0.6137 0.6624 0.1951
H 0.6137 0.9513 0.8049